[1]
For KNiSb, DFT lattice parameters and positions (PBE) gives the theoretical powder XRD pattern in this record (Cu Kα (λ = 1.5418 Å)).
No peak broadening, texture or thermal motion is included.

Structure:
a b c (Å): 3.4422 3.6660 12.2475
angles (deg): 90.00 90.00 90.00
Space group Imm2 (No. 44)
Symmetry-distinct sites (fractional):
K  0.0000  0.0000  0.0000 x2
Ni  0.0000  0.0000  0.7226 x2
Sb  0.0000  0.0000  0.2813 x2

Principal peaks in the range 10° ≤ 2θ ≤ 80°, low angle first:
2θ/deg, Rel. int., hkl
14.5, 100.0, 0 0 2
29.2, 35.4, 0 0 4
32.8, 33.4, 0 1 3
34.1, 30.1, 1 0 3
35.8, 62.8, 1 1 0
38.8, 35.8, 1 1 2
46.8, 36.5, 1 1 4
49.7, 11.8, 0 2 0
53.2, 9.5, 2 0 0
58.4, 13.3, 0 1 7
59.2, 12.7, 1 0 7
61.7, 10.0, 1 2 3

[2]
For KNi6Se8, DFT lattice parameters and positions (PBE) gives the theoretical powder XRD pattern in this record (Cu Kα (λ = 1.5418 Å)).
No peak broadening, texture or thermal motion is included.

Structure:
a b c (Å): 9.4513 9.4513 11.7404
angles (deg): 90.00 90.00 120.00
Space group R-3 (No. 148, hexagonal axes)
Symmetry-distinct sites (fractional):
K  0.0000  0.0000  0.0000 x3
Ni  0.0206  0.1983  0.3899 x18
Se  0.0000  0.0000  0.2630 x6
Se  0.0331  0.2987  0.5790 x18

Principal peaks in the range 10° ≤ 2θ ≤ 80°, low angle first:
2θ/deg, Rel. int., hkl
13.2, 100.0, 1 0 1
26.6, 26.0, 2 0 2
29.6, 39.1, 1 1 3
29.9, 25.2, 2 1 1
32.7, 27.4, 3 -2 2
32.8, 35.2, 3 0 0
37.7, 24.9, 0 2 4
40.5, 38.3, 4 -3 1
42.5, 29.5, 3 -1 4
44.8, 44.4, 4 -2 3
51.1, 44.7, 5 -3 2
58.3, 26.8, 3 2 4

[3]
For K2NiSe, DFT lattice parameters and positions (PBE) gives the theoretical powder XRD pattern in this record (Cu Kα (λ = 1.5418 Å)).
No peak broadening, texture or thermal motion is included.

Structure:
a b c (Å): 4.3709 5.3206 10.4815
angles (deg): 90.00 90.00 90.00
Space group Amm2 (No. 38)
Symmetry-distinct sites (fractional):
K  0.0000  0.0000  0.0000 x2
K  0.5000  0.0000  0.3050 x2
Ni  0.0000  0.0000  0.6764 x2
Se  0.5000  0.0000  0.6230 x2

Principal peaks in the range 10° ≤ 2θ ≤ 80°, low angle first:
2θ/deg, Rel. int., hkl
16.9, 59.7, 0 0 2
18.7, 71.8, 0 1 1
27.8, 53.0, 1 1 1
30.6, 100.0, 0 1 3
33.7, 46.4, 0 2 0
37.0, 23.6, 1 1 3
40.1, 22.1, 1 0 4
41.3, 25.5, 2 0 0
52.3, 50.1, 2 1 3
53.4, 18.2, 1 2 4
54.3, 21.6, 2 2 0
56.7, 16.0, 1 0 6